No. 1
Starting from DFT lattice parameters and positions (GGA-PBE), the PXRD pattern of KSn3Br7 was calculated for Cu Kα X-rays.

Lattice parameters (Å, degrees): 9.7490 11.0389 7.4621 90.00 109.42 90.00
Space group C2/m (No. 12)
Asymmetric unit:
K (0.0000, 0.0000, 0.0000)
Sn (0.0000, 0.2715, 0.5000)
Sn (0.0000, 0.5000, 0.0000)
Br (0.0000, 0.0000, 0.5000)
Br (0.1549, 0.5000, 0.7183)
Br (0.1706, 0.2916, 0.2271)

Peak list (10 most intense, 15° ≤ 2θ ≤ 90°, by angle)
hkl, 2theta, I (rel.)
0 2 1, 20.45, 280
2 0 -2, 26.28, 987
1 3 1, 30.46, 580
2 2 1, 31.10, 1000
0 4 0, 32.44, 480
2 0 2, 36.95, 249
2 2 -3, 40.35, 290
4 2 -1, 40.46, 450
2 4 -2, 42.22, 363
1 3 -3, 44.04, 287

***

No. 2
Starting from DFT lattice parameters and positions (GGA-PBE), the PXRD pattern of Sm3I7Cl was calculated for Cu Kα X-rays.

Lattice parameters (Å, degrees): 15.0997 8.7251 10.8473 90.00 133.93 90.00
Space group Cm (No. 8)
Asymmetric unit:
Sm (0.0000, 0.0000, 0.0000)
Sm (0.2463, 0.2464, 0.0002)
I (0.0290, 0.2475, 0.2318)
I (0.2114, 0.5000, 0.7604)
I (0.2140, 0.0000, 0.7669)
I (0.2816, 0.5000, 0.2317)
I (0.4644, 0.2505, 0.7663)
Cl (0.2531, 0.0000, 0.1783)

Peak list (10 most intense, 15° ≤ 2θ ≤ 90°, by angle)
hkl, 2theta, I (rel.)
2 2 -2, 26.21, 1000
4 0 0, 32.98, 526
0 4 0, 41.41, 347
2 2 2, 42.11, 215
4 0 -5, 42.22, 112
6 2 -2, 43.07, 106
8 0 -5, 49.67, 169
4 4 0, 53.91, 111
0 4 4, 63.95, 106
8 4 -5, 66.60, 135